Calculated XRD peak list
Compound: K5InMo4O16
Radiation: Cu Ka
Structure: a crystal structure in the Materials Project, relaxed with GGA+U
Lines closer than 0.1° are merged.

Atomic structure:
```
data_K5InMo4O16
_chemical_formula_sum 'K20 In4 Mo16 O64'
_symmetry_space_group_name_H-M 'C 1 c 1'
_symmetry_Int_Tables_number 9
_symmetry_space_group_name_Hall 'C -2yc'
_cell_length_a 14.9419
_cell_length_b 12.3340
_cell_length_c 10.7071
_cell_angle_alpha 90.00
_cell_angle_beta 113.98
_cell_angle_gamma 90.00
loop_
_atom_site_label
_atom_site_fract_x
_atom_site_fract_y
_atom_site_fract_z
K1 0.0000 0.1010 0.0000
K2 0.0640 0.3976 0.8724
K3 0.0763 0.1299 0.3660
K4 0.2829 0.3902 0.6810
K5 0.4917 0.1401 0.0045
In1 0.2819 0.1151 0.1820
Mo1 0.1784 0.3656 0.2743
Mo2 0.1949 0.1297 0.8009
Mo3 0.3692 0.1324 0.5668
Mo4 0.3836 0.3651 0.0917
O1 0.1087 0.2322 0.7137
O2 0.1109 0.4658 0.1491
O3 0.1278 0.3640 0.3996
O4 0.1759 0.2295 0.1968
O5 0.1771 0.0047 0.7000
O6 0.1861 0.0986 0.9634
O7 0.2527 0.1837 0.5346
O8 0.2591 0.4028 0.0104
O9 0.3018 0.4077 0.3547
O10 0.3117 0.1816 0.8365
O11 0.3747 0.1049 0.4015
O12 0.3863 0.0063 0.6653
O13 0.3888 0.2276 0.1665
O14 0.4363 0.3668 0.9687
O15 0.4479 0.4658 0.2182
O16 0.4547 0.2360 0.6544
```

Top 6 peaks for 10° ≤ 2θ ≤ 90°, in order of falling intensity:
d (Å), 2theta, intensity
3.082, 28.97, 1000
3.190, 27.97, 666
3.378, 26.38, 386
2.277, 39.57, 271
1.865, 48.84, 200
6.826, 12.97, 192